Entry 1:
Structure and calculated XRD peak list of Na2CeO3 (a DFT-relaxed cell (GGA-PBE, the Materials Project); copper Kα).
Peak positions follow from Bragg's law for the DFT cell and can differ from measured ones.

The 6 most intense peaks (2θ from 5° to 70°), low angle first:
- 2θ 15.94, 5.559 Å, rel. 100, hkl 0 0 2
- 2θ 29.89, 2.989 Å, rel. 34, hkl 1 3 -1
- 2θ 31.37, 2.852 Å, rel. 71, hkl 1 3 1
- 2θ 36.58, 2.457 Å, rel. 89, hkl 1 3 -3
- 2θ 36.72, 2.447 Å, rel. 47, hkl 2 0 2
- 2θ 53.31, 1.718 Å, rel. 40, hkl 1 3 5

```
data_Na2CeO3
_cell_length_a 6.0570
_cell_length_b 10.5345
_cell_length_c 11.3045
_cell_angle_alpha 90.00
_cell_angle_beta 100.41
_cell_angle_gamma 90.00
_space_group_name_H-M_alt 'C 1 2/c 1'
_space_group_IT_number 15
loop_
_space_group_symop_operation_xyz
'x,y,z'
'-x,-y,-z'
'-x,y,-z+1/2'
'x,-y,z+1/2'
'x+1/2,y+1/2,z'
'-x+1/2,-y+1/2,-z'
'-x+1/2,y+1/2,-z+1/2'
'x+1/2,-y+1/2,z+1/2'
loop_
_atom_site_label
_atom_site_fract_x
_atom_site_fract_y
_atom_site_fract_z
Na1 0.0000 0.0830 0.2500
Na2 0.2365 0.0780 0.0008
Na3 0.2500 0.2500 0.5000
Ce1 0.0000 0.2504 0.7500
Ce2 0.0000 0.4168 0.2500
O1 0.0991 0.4170 0.6429
O2 0.1454 0.0991 0.6391
O3 0.1478 0.2665 0.1428
```

Entry 2:
Structure and calculated XRD peak list of Na2CeO3 (a DFT-relaxed cell (GGA-PBE, the Materials Project); copper Kα).
Peak positions follow from Bragg's law for the DFT cell and can differ from measured ones.

The 6 most intense peaks (2θ from 5° to 70°), low angle first:
- 2θ 18.93, 4.689 Å, rel. 29, hkl 0 0 1
- 2θ 20.80, 4.270 Å, rel. 100, hkl 1 0 0
- 2θ 28.27, 3.157 Å, rel. 56, hkl 1 0 1
- 2θ 35.36, 2.539 Å, rel. 40, hkl 1 1 1
- 2θ 42.33, 2.135 Å, rel. 35, hkl 2 0 0
- 2θ 44.07, 2.055 Å, rel. 27, hkl 1 0 2

```
data_Na2CeO3
_cell_length_a 4.2703
_cell_length_b 4.2703
_cell_length_c 4.6886
_cell_angle_alpha 90.00
_cell_angle_beta 90.00
_cell_angle_gamma 90.00
_space_group_name_H-M_alt 'P 4/m m m'
_space_group_IT_number 123
_space_group_name_Hall '-P 4 2'
loop_
_atom_site_label
_atom_site_fract_x
_atom_site_fract_y
_atom_site_fract_z
Na1 0.0000 0.5000 0.0000
Ce1 0.0000 0.0000 0.5000
O1 0.0000 0.0000 0.0000
O2 0.0000 0.5000 0.5000
```

Entry 3:
Structure and calculated XRD peak list of NaSr3CeP3O13 (a DFT-relaxed cell (GGA-PBE, the Materials Project); copper Kα).
Peak positions follow from Bragg's law for the DFT cell and can differ from measured ones.

The 6 most intense peaks (2θ from 5° to 70°), low angle first:
- 2θ 22.00, 4.041 Å, rel. 38, hkl 2 -1 1
- 2θ 27.89, 3.199 Å, rel. 33, hkl 2 1 0
- 2θ 30.59, 2.923 Å, rel. 100, hkl 2 1 1
- 2θ 30.90, 2.894 Å, rel. 52, hkl 1 1 2
- 2θ 31.71, 2.822 Å, rel. 36, hkl 3 0 0
- 2θ 47.43, 1.917 Å, rel. 39, hkl 3 -2 3

```
data_NaSr3CeP3O13
_cell_length_a 9.7743
_cell_length_b 9.7743
_cell_length_c 7.1827
_cell_angle_alpha 90.00
_cell_angle_beta 90.00
_cell_angle_gamma 120.00
_space_group_name_H-M_alt 'P -3'
_space_group_IT_number 147
loop_
_space_group_symop_operation_xyz
'x,y,z'
'-x,-y,-z'
'-y,x-y,z'
'y,-x+y,-z'
'-x+y,-x,z'
'x-y,x,-z'
loop_
_atom_site_label
_atom_site_fract_x
_atom_site_fract_y
_atom_site_fract_z
Na1 0.3333 0.6667 0.4795
Sr1 0.0155 0.2470 0.2536
Ce1 0.3333 0.6667 0.9788
P1 0.0317 0.4076 0.7581
O1 0.0000 0.0000 0.1896
O2 0.0493 0.3124 0.5985
O3 0.1071 0.3821 0.9382
O4 0.1298 0.5897 0.7260
O5 0.1469 0.6485 0.2148
```

Entry 4:
Structure and calculated XRD peak list of NaCeS2O9 (a DFT-relaxed cell (GGA-PBE, the Materials Project); copper Kα).
Peak positions follow from Bragg's law for the DFT cell and can differ from measured ones.

The 6 most intense peaks (2θ from 5° to 70°), low angle first:
- 2θ 14.63, 6.054 Å, rel. 52, hkl 1 0 0
- 2θ 16.14, 5.493 Å, rel. 100, hkl 1 0 1
- 2θ 25.48, 3.495 Å, rel. 48, hkl 1 1 0
- 2θ 29.51, 3.027 Å, rel. 50, hkl 2 0 0
- 2θ 31.11, 2.875 Å, rel. 72, hkl 1 0 4
- 2θ 48.58, 1.874 Å, rel. 41, hkl 1 2 4

```
data_NaCeS2O9
_cell_length_a 6.9904
_cell_length_b 6.9904
_cell_length_c 13.0673
_cell_angle_alpha 90.00
_cell_angle_beta 90.00
_cell_angle_gamma 120.00
_space_group_name_H-M_alt 'P 31 2 1'
_space_group_IT_number 152
loop_
_space_group_symop_operation_xyz
'x,y,z'
'-y,x-y,z+1/3'
'-x+y,-x,z+2/3'
'y,x,-z'
'x-y,-y,-z+2/3'
'-x,-x+y,-z+1/3'
loop_
_atom_site_label
_atom_site_fract_x
_atom_site_fract_y
_atom_site_fract_z
Na1 0.0000 0.4704 0.1667
Ce1 0.0000 0.4250 0.6667
S1 0.0163 0.4569 0.9091
O1 0.0000 0.1280 0.6667
O2 0.1188 0.6240 0.3506
O3 0.1299 0.3911 0.4878
O4 0.1348 0.6420 0.8349
O5 0.1729 0.4211 0.9710
```

Entry 5:
Structure and calculated XRD peak list of NaCeSe2O10 (a DFT-relaxed cell (GGA-PBE, the Materials Project); copper Kα).
Peak positions follow from Bragg's law for the DFT cell and can differ from measured ones.

The 6 most intense peaks (2θ from 5° to 70°), low angle first:
- 2θ 16.46, 5.386 Å, rel. 71, hkl 1 0 -2
- 2θ 17.48, 5.074 Å, rel. 61, hkl 0 0 2
- 2θ 25.06, 3.554 Å, rel. 84, hkl 3 0 -2
- 2θ 26.91, 3.314 Å, rel. 100, hkl 1 2 -1
- 2θ 31.08, 2.877 Å, rel. 66, hkl 2 1 2
- 2θ 33.25, 2.695 Å, rel. 56, hkl 1 0 -4

```
data_NaCeSe2O10
_cell_length_a 11.3434
_cell_length_b 7.1118
_cell_length_c 10.8629
_cell_angle_alpha 90.00
_cell_angle_beta 110.90
_cell_angle_gamma 90.00
_space_group_name_H-M_alt 'P 1 21/c 1'
_space_group_IT_number 14
loop_
_space_group_symop_operation_xyz
'x,y,z'
'-x,-y,-z'
'-x,y+1/2,-z+1/2'
'x,-y+1/2,z+1/2'
loop_
_atom_site_label
_atom_site_fract_x
_atom_site_fract_y
_atom_site_fract_z
Na1 0.1495 0.1389 0.4604
Ce1 0.2535 0.6365 0.6618
Se1 0.0407 0.6477 0.3518
Se2 0.3886 0.1454 0.7456
O1 0.0660 0.6769 0.9615
O2 0.0871 0.6924 0.2251
O3 0.1125 0.0927 0.2193
O4 0.1245 0.0260 0.9497
O5 0.3042 0.5491 0.1744
O6 0.3043 0.6280 0.9082
O7 0.3127 0.1854 0.1369
O8 0.3316 0.7157 0.4725
O9 0.3932 0.1832 0.8950
O10 0.4674 0.6184 0.7657
```

What did the fourth record say?
Structure and calculated XRD peak list of NaCeS2O9 (a DFT-relaxed cell (GGA-PBE, the Materials Project); copper Kα).
Peak positions follow from Bragg's law for the DFT cell and can differ from measured ones.

The 6 most intense peaks (2θ from 5° to 70°), low angle first:
- 2θ 14.63, 6.054 Å, rel. 52, hkl 1 0 0
- 2θ 16.14, 5.493 Å, rel. 100, hkl 1 0 1
- 2θ 25.48, 3.495 Å, rel. 48, hkl 1 1 0
- 2θ 29.51, 3.027 Å, rel. 50, hkl 2 0 0
- 2θ 31.11, 2.875 Å, rel. 72, hkl 1 0 4
- 2θ 48.58, 1.874 Å, rel. 41, hkl 1 2 4

```
data_NaCeS2O9
_cell_length_a 6.9904
_cell_length_b 6.9904
_cell_length_c 13.0673
_cell_angle_alpha 90.00
_cell_angle_beta 90.00
_cell_angle_gamma 120.00
_space_group_name_H-M_alt 'P 31 2 1'
_space_group_IT_number 152
loop_
_space_group_symop_operation_xyz
'x,y,z'
'-y,x-y,z+1/3'
'-x+y,-x,z+2/3'
'y,x,-z'
'x-y,-y,-z+2/3'
'-x,-x+y,-z+1/3'
loop_
_atom_site_label
_atom_site_fract_x
_atom_site_fract_y
_atom_site_fract_z
Na1 0.0000 0.4704 0.1667
Ce1 0.0000 0.4250 0.6667
S1 0.0163 0.4569 0.9091
O1 0.0000 0.1280 0.6667
O2 0.1188 0.6240 0.3506
O3 0.1299 0.3911 0.4878
O4 0.1348 0.6420 0.8349
O5 0.1729 0.4211 0.9710
```